[1]
Starting from a cell relaxed with PBE, the X-ray diffraction stick pattern of Cu2Sn2Ge3 was calculated for λ = 1.5418 Å (Cu Kα).
Neutral-atom scattering factors, no anomalous dispersion.

Principal peaks in the range 2θ from 5° to 70°, by intensity:
2θ 38.14, intensity 100; 2θ 38.99, intensity 85; 2θ 69.50, intensity 30; 2θ 55.68, intensity 30; 2θ 68.94, intensity 17; 2θ 27.01, intensity 15; 2θ 23.17, intensity 14; 2θ 35.63, intensity 9; 2θ 29.58, intensity 9; 2θ 45.47, intensity 7

Structural model:
abc: 7.9498 7.9498 7.9498
angles: 34.53 34.53 34.53
Positions (direct):
Cu 0.0000 0.0000 0.0000
Cu 0.4950 0.4950 0.4950
Sn 0.2360 0.2360 0.2360
Sn 0.7536 0.7536 0.7536
Ge 0.3749 0.3749 0.3749
Ge 0.6257 0.6257 0.6257
Ge 0.8757 0.8757 0.8757

[2]
Starting from a cell relaxed with PBE, the X-ray diffraction stick pattern of In9Cu4Se16 was calculated for λ = 1.5418 Å (Cu Kα).
Neutral-atom scattering factors, no anomalous dispersion.

Principal peaks in the range 2θ from 5° to 70°, by intensity:
2θ 26.21, intensity 100; 2θ 43.46, intensity 64; 2θ 51.46, intensity 35; 2θ 22.64, intensity 14; 2θ 38.20, intensity 13; 2θ 69.57, intensity 12; 2θ 44.16, intensity 9; 2θ 63.14, intensity 8; 2θ 49.55, intensity 7; 2θ 63.69, intensity 5

Structural model:
abc: 11.7801 11.7801 11.7801
angles: 90.00 90.00 90.00
Positions (direct):
In 0.0000 0.0000 0.2610
In 0.0000 0.0000 0.7390
In 0.0000 0.2610 0.0000
In 0.0000 0.2697 0.5000
In 0.0000 0.5000 0.2697
In 0.0000 0.5000 0.7303
In 0.0000 0.7303 0.5000
In 0.0000 0.7390 0.0000
In 0.2610 0.0000 0.0000
In 0.2697 0.0000 0.5000
In 0.2697 0.5000 0.0000
In 0.5000 0.0000 0.2697
In 0.5000 0.0000 0.7303
In 0.5000 0.2697 0.0000
In 0.5000 0.7303 0.0000
In 0.7303 0.0000 0.5000
In 0.7303 0.5000 0.0000
In 0.7390 0.0000 0.0000
Cu 0.2589 0.2589 0.2589
Cu 0.2589 0.7411 0.7411
Cu 0.2787 0.2787 0.7213
Cu 0.2787 0.7213 0.2787
Cu 0.7213 0.2787 0.2787
Cu 0.7213 0.7213 0.7213
Cu 0.7411 0.2589 0.7411
Cu 0.7411 0.7411 0.2589
Se 0.1362 0.1362 0.1362
Se 0.1362 0.8638 0.8638
Se 0.1406 0.1406 0.6314
Se 0.1406 0.3686 0.8594
Se 0.1406 0.6314 0.1406
Se 0.1406 0.8594 0.3686
Se 0.1508 0.3836 0.3836
Se 0.1508 0.6164 0.6164
Se 0.3686 0.1406 0.8594
Se 0.3686 0.8594 0.1406
Se 0.3836 0.1508 0.3836
Se 0.3836 0.3836 0.1508
Se 0.3836 0.6164 0.8492
Se 0.3836 0.8492 0.6164
Se 0.3889 0.3889 0.6111
Se 0.3889 0.6111 0.3889
Se 0.6111 0.3889 0.3889
Se 0.6111 0.6111 0.6111
Se 0.6164 0.1508 0.6164
Se 0.6164 0.3836 0.8492
Se 0.6164 0.6164 0.1508
Se 0.6164 0.8492 0.3836
Se 0.6314 0.1406 0.1406
Se 0.6314 0.8594 0.8594
Se 0.8492 0.3836 0.6164
Se 0.8492 0.6164 0.3836
Se 0.8594 0.1406 0.3686
Se 0.8594 0.3686 0.1406
Se 0.8594 0.6314 0.8594
Se 0.8594 0.8594 0.6314
Se 0.8638 0.1362 0.8638
Se 0.8638 0.8638 0.1362

[3]
Starting from a cell relaxed with PBE, the X-ray diffraction stick pattern of RbP2IrO7 was calculated for λ = 1.5418 Å (Cu Kα).
Neutral-atom scattering factors, no anomalous dispersion.

Principal peaks in the range 2θ from 5° to 70°, by intensity:
2θ 23.56, intensity 100; 2θ 23.19, intensity 92; 2θ 16.60, intensity 76; 2θ 16.33, intensity 63; 2θ 27.48, intensity 53; 2θ 37.41, intensity 40; 2θ 33.01, intensity 39; 2θ 35.17, intensity 36; 2θ 54.49, intensity 26; 2θ 41.58, intensity 25

Structural model:
abc: 5.4667 5.4667 5.3400
angles: 90.80 90.80 96.82
Positions (direct):
Rb 0.0000 0.0000 0.0000
P 0.5039 0.1049 0.4208
P 0.8951 0.4961 0.5792
Ir 0.3656 0.6344 0.5000
O 0.0120 0.6259 0.3460
O 0.1127 0.4640 0.7589
O 0.3741 0.9880 0.6540
O 0.3785 0.3084 0.2983
O 0.5360 0.8873 0.2411
O 0.6916 0.6215 0.7017
O 0.7826 0.2174 0.5000

[4]
Starting from a cell relaxed with PBE, the X-ray diffraction stick pattern of Hg3PClO4 was calculated for λ = 1.5418 Å (Cu Kα).
Neutral-atom scattering factors, no anomalous dispersion.

Principal peaks in the range 2θ from 5° to 70°, by intensity:
2θ 18.37, intensity 100; 2θ 32.10, intensity 95; 2θ 35.60, intensity 74; 2θ 26.10, intensity 72; 2θ 33.89, intensity 67; 2θ 23.79, intensity 59; 2θ 49.97, intensity 54; 2θ 46.04, intensity 41; 2θ 44.67, intensity 38; 2θ 40.35, intensity 38

Structural model:
abc: 8.3639 8.3639 8.3639
angles: 90.00 90.00 90.00
Positions (direct):
Hg 0.0439 0.3905 0.3530
Hg 0.1095 0.6470 0.5439
Hg 0.1470 0.9561 0.8905
Hg 0.3530 0.0439 0.3905
Hg 0.3905 0.3530 0.0439
Hg 0.4561 0.6095 0.8530
Hg 0.5439 0.1095 0.6470
Hg 0.6095 0.8530 0.4561
Hg 0.6470 0.5439 0.1095
Hg 0.8530 0.4561 0.6095
Hg 0.8905 0.1470 0.9561
Hg 0.9561 0.8905 0.1470
P 0.0179 0.5179 0.9821
P 0.4821 0.4821 0.4821
P 0.5179 0.9821 0.0179
P 0.9821 0.0179 0.5179
Cl 0.2396 0.7604 0.2604
Cl 0.2604 0.2396 0.7604
Cl 0.7396 0.7396 0.7396
Cl 0.7604 0.2604 0.2396
O 0.0933 0.1181 0.4029
O 0.0971 0.9067 0.6181
O 0.1181 0.4029 0.0933
O 0.1232 0.6232 0.8768
O 0.3768 0.3768 0.3768
O 0.3819 0.5971 0.5933
O 0.4029 0.0933 0.1181
O 0.4067 0.8819 0.9029
O 0.5933 0.3819 0.5971
O 0.5971 0.5933 0.3819
O 0.6181 0.0971 0.9067
O 0.6232 0.8768 0.1232
O 0.8768 0.1232 0.6232
O 0.8819 0.9029 0.4067
O 0.9029 0.4067 0.8819
O 0.9067 0.6181 0.0971

[5]
Starting from a cell relaxed with PBE, the X-ray diffraction stick pattern of TlZnSF was calculated for λ = 1.5418 Å (Cu Kα).
Neutral-atom scattering factors, no anomalous dispersion.

Principal peaks in the range 2θ from 5° to 70°, by intensity:
2θ 26.50, intensity 100; 2θ 32.15, intensity 72; 2θ 38.58, intensity 72; 2θ 27.52, intensity 66; 2θ 17.82, intensity 48; 2θ 29.97, intensity 45; 2θ 29.92, intensity 30; 2θ 39.79, intensity 29; 2θ 56.08, intensity 28; 2θ 50.19, intensity 23

Structural model:
abc: 6.4821 6.7156 7.7751
angles: 90.00 90.00 90.00
Positions (direct):
Tl 0.0253 0.0579 0.1720
Tl 0.4748 0.9421 0.6720
Tl 0.5252 0.4421 0.8280
Tl 0.9748 0.5579 0.3280
Zn 0.0054 0.6633 0.8505
Zn 0.4946 0.3367 0.3505
Zn 0.5054 0.8367 0.1495
Zn 0.9946 0.1633 0.6495
S 0.0807 0.3386 0.8831
S 0.4193 0.6614 0.3831
S 0.5807 0.1614 0.1169
S 0.9193 0.8386 0.6169
F 0.2271 0.2254 0.4693
F 0.2729 0.7746 0.9693
F 0.7271 0.2746 0.5307
F 0.7729 0.7254 0.0307